For PaI5Cl, a structure optimized by DFT (PBE) gives the simulated powder diffraction line list in this record (a wavelength of 1.5418 Å).

Structural model:
Cell lengths 7.0677, 9.5618, 12.7748 Å; angles 100.48, 94.13, 96.33 degrees
Sites, in units of the cell vectors:
Pa: 0.0000 0.0000 0.0000
Pa: 0.0000 0.5000 0.5000
I: 0.1152 0.4730 0.2753
I: 0.1452 0.2394 0.5460
I: 0.1468 0.7429 0.0461
I: 0.2682 0.0183 0.8361
I: 0.3012 0.1743 0.1658
I: 0.6988 0.8257 0.8342
I: 0.7318 0.9817 0.1639
I: 0.8532 0.2571 0.9539
I: 0.8548 0.7606 0.4540
I: 0.8848 0.5270 0.7247
Cl: 0.3167 0.6442 0.5708
Cl: 0.6833 0.3558 0.4292

The 10 most intense peaks (2θ from 10° to 80°), by angle:
- 2θ = 10.69°, rel. 100, (0 1 -1)
- 2θ = 12.66°, rel. 73, (1 0 0)
- 2θ = 12.88°, rel. 38, (0 1 1)
- 2θ = 18.12°, rel. 30, (1 0 -2)
- 2θ = 19.37°, rel. 45, (1 1 1)
- 2θ = 29.57°, rel. 19, (1 1 3)
- 2θ = 29.77°, rel. 46, (1 -3 1)
- 2θ = 30.19°, rel. 26, (1 0 -4)
- 2θ = 30.31°, rel. 22, (2 1 1)
- 2θ = 43.93°, rel. 17, (1 3 -5)